1.
Structure and computed powder diffraction line list of PmHCl3 (a crystal structure in Alexandria, relaxed with PBE; λ = 1.5418 Å (Cu Kα)).
Kinematic intensities with the Lorentz-polarization factor, no thermal factor.

Main lines, sorted by position (15° ≤ 2θ ≤ 90°):
| Position (°2θ) | d [Å] | I_rel |
| --- | --- | --- |
| 16.18 | 5.478 | 76 |
| 24.06 | 3.699 | 53 |
| 24.66 | 3.611 | 48 |
| 25.15 | 3.541 | 50 |
| 26.71 | 3.337 | 66 |
| 30.53 | 2.928 | 100 |
| 33.06 | 2.709 | 48 |
| 34.69 | 2.586 | 77 |
| 37.03 | 2.428 | 53 |
| 38.54 | 2.336 | 74 |
| 39.96 | 2.256 | 59 |
| 41.64 | 2.169 | 54 |

Atomic structure:
a = 7.8104 Å, b = 3.9795 Å, c = 8.7011 Å
α = 90.00°, β = 96.45°, γ = 90.00°
Space group P2_1/m (No. 11)
Asymmetric unit:
Pm  0.2329  0.2500  0.3867 x2
H  0.3163  0.2500  0.1149 x2
Cl  0.0947  0.7500  0.1863 x2
Cl  0.1500  0.7500  0.5974 x2
Cl  0.4903  0.7500  0.3460 x2

---

2.
Structure and computed powder diffraction line list of NaSb2O3 (a crystal structure in Alexandria, relaxed with PBE; λ = 1.5418 Å (Cu Kα)).
Kinematic intensities with the Lorentz-polarization factor, no thermal factor.

Main lines, sorted by position (15° ≤ 2θ ≤ 90°):
| Position (°2θ) | d [Å] | I_rel |
| --- | --- | --- |
| 18.01 | 4.926 | 72 |
| 25.53 | 3.488 | 100 |
| 26.33 | 3.385 | 20 |
| 30.74 | 2.908 | 60 |
| 32.06 | 2.792 | 26 |
| 34.06 | 2.632 | 16 |
| 40.37 | 2.234 | 30 |
| 43.56 | 2.078 | 15 |
| 47.47 | 1.915 | 29 |
| 52.45 | 1.745 | 18 |
| 55.96 | 1.643 | 14 |
| 59.23 | 1.560 | 18 |

Atomic structure:
a = 3.4886 Å, b = 13.9635 Å, c = 5.2647 Å
α = 90.00°, β = 90.00°, γ = 90.00°
Space group Imm2 (No. 44)
Asymmetric unit:
Na  0.0000  0.0000  0.0000 x2
Sb  0.0000  0.3656  0.9792 x4
O  0.0000  0.1135  0.6842 x4
O  0.0000  0.5000  0.8126 x2

---

3.
Structure and computed powder diffraction line list of Rb2Na5TlPb2 (a crystal structure in Alexandria, relaxed with PBE; λ = 1.5418 Å (Cu Kα)).
Kinematic intensities with the Lorentz-polarization factor, no thermal factor.

Main lines, sorted by position (15° ≤ 2θ ≤ 90°):
| Position (°2θ) | d [Å] | I_rel |
| --- | --- | --- |
| 18.29 | 4.851 | 14 |
| 20.47 | 4.339 | 81 |
| 22.11 | 4.021 | 37 |
| 28.84 | 3.096 | 14 |
| 29.10 | 3.068 | 17 |
| 30.30 | 2.949 | 100 |
| 32.39 | 2.764 | 22 |
| 37.06 | 2.426 | 19 |
| 43.57 | 2.077 | 21 |
| 50.00 | 1.824 | 19 |
| 55.92 | 1.644 | 18 |
| 57.21 | 1.610 | 13 |

Atomic structure:
a = 13.7220 Å, b = 13.7220 Å, c = 4.0210 Å
α = 90.00°, β = 90.00°, γ = 90.00°
Space group P4/mbm (No. 127)
Asymmetric unit:
Rb  0.1692  0.3308  0.0000 x4
Na  0.0000  0.5000  0.5000 x2
Na  0.0627  0.8094  0.5000 x8
Tl  0.0000  0.0000  0.0000 x2
Pb  0.1337  0.6337  0.0000 x4

---

4.
Structure and computed powder diffraction line list of Li3GaO3 (a crystal structure in Alexandria, relaxed with PBE; λ = 1.5418 Å (Cu Kα)).
Kinematic intensities with the Lorentz-polarization factor, no thermal factor.

Main lines, sorted by position (15° ≤ 2θ ≤ 90°):
| Position (°2θ) | d [Å] | I_rel |
| --- | --- | --- |
| 25.93 | 3.436 | 24 |
| 26.80 | 3.327 | 100 |
| 30.03 | 2.976 | 29 |
| 37.63 | 2.390 | 8 |
| 45.19 | 2.006 | 12 |
| 46.27 | 1.962 | 29 |
| 52.84 | 1.733 | 7 |
| 53.32 | 1.718 | 18 |
| 55.22 | 1.664 | 9 |
| 60.66 | 1.527 | 16 |
| 72.42 | 1.305 | 18 |
| 73.22 | 1.293 | 12 |

Atomic structure:
a = 6.8768 Å, b = 11.8958 Å, c = 4.0127 Å
α = 90.00°, β = 90.00°, γ = 90.00°
Space group Cmcm (No. 63)
Asymmetric unit:
Li  0.0000  0.1496  0.2500 x4
Li  0.2252  0.0747  0.7500 x8
Ga  0.0000  0.3332  0.7500 x4
O  0.0000  0.1820  0.7500 x4
O  0.2262  0.4090  0.7500 x8